Record 1
For Fe4O13, DFT lattice parameters and positions (PBE+U) gives the simulated powder XRD pattern in this record (Cu Kα (λ = 1.5418 Å)).
No peak broadening, texture or thermal motion is included.

Peak list (6 most intense, 10° ≤ 2θ ≤ 90°, in order of rising 2θ)
21.52°, I 100
22.73°, I 85
35.72°, I 38
36.50°, I 34
42.76°, I 48
67.74°, I 27

Structure:
```
Fe4O13
1.0
-3.168 3.912 4.129
3.168 -3.912 4.129
3.168 3.912 -4.129
Fe O
4 13
Cartesian
1.584 1.956 -2.064
1.584 -1.956 2.064
-1.584 1.956 2.064
1.584 1.956 2.064
0.000 0.000 0.000
3.168 -1.335 2.691
2.495 1.741 0.000
3.842 1.741 0.000
2.469 3.912 -1.863
0.699 0.000 2.266
3.168 1.335 2.691
0.000 2.577 1.438
2.469 3.912 1.863
0.699 0.000 5.992
-0.673 2.171 4.129
0.673 2.171 4.129
0.000 5.246 1.438
```

Record 2
For Fe4O13, DFT lattice parameters and positions (PBE+U) gives the simulated powder XRD pattern in this record (Cu Kα (λ = 1.5418 Å)).
No peak broadening, texture or thermal motion is included.

Peak list (6 most intense, 10° ≤ 2θ ≤ 90°, in order of rising 2θ)
22.32°, I 100
24.12°, I 65
36.09°, I 42
37.28°, I 48
43.88°, I 55
45.57°, I 36

Structure:
```
Fe4O13
1.0
-3.187 3.690 3.983
3.187 -3.690 3.983
3.187 3.690 -3.983
Fe O
4 13
Cartesian
1.593 1.845 -1.992
1.593 -1.845 1.992
-1.593 1.845 1.992
1.593 1.845 1.992
0.000 0.000 0.000
3.187 2.670 -1.437
2.475 0.000 1.559
3.899 0.000 1.559
0.697 2.168 0.000
2.490 -1.522 3.983
0.000 1.020 2.546
3.187 2.670 1.437
0.697 5.212 0.000
2.490 1.522 3.983
-0.712 3.690 2.424
0.712 3.690 2.424
0.000 1.020 5.420
```

Record 3
For Fe4O5, DFT lattice parameters and positions (PBE+U) gives the simulated powder XRD pattern in this record (Cu Kα (λ = 1.5418 Å)).
No peak broadening, texture or thermal motion is included.

Peak list (6 most intense, 10° ≤ 2θ ≤ 90°, in order of rising 2θ)
33.60°, I 100
35.53°, I 25
35.66°, I 31
42.05°, I 32
43.94°, I 54
46.96°, I 26

Structure:
```
Fe4O5
1.0
1.434 -5.035 0.000
1.434 5.035 0.000
0.000 0.000 12.581
Fe O
8 10
Cartesian
0.000 0.000 0.000
0.000 0.000 6.290
1.434 2.367 7.713
1.434 2.367 11.158
1.434 0.114 3.145
1.434 -0.114 9.436
1.434 -2.367 1.423
1.434 -2.367 4.868
1.434 4.298 1.847
1.434 4.298 4.444
1.434 3.442 9.436
1.434 1.301 0.418
1.434 1.301 5.873
1.434 -1.301 6.708
1.434 -1.301 12.163
1.434 -3.442 3.145
1.434 -4.298 8.137
1.434 -4.298 10.734
```

Record 4
For Fe13O15, DFT lattice parameters and positions (PBE+U) gives the simulated powder XRD pattern in this record (Cu Kα (λ = 1.5418 Å)).
No peak broadening, texture or thermal motion is included.

Peak list (6 most intense, 10° ≤ 2θ ≤ 90°, in order of rising 2θ)
35.63°, I 89
36.17°, I 81
41.46°, I 96
41.65°, I 100
41.97°, I 99
60.59°, I 83

Structure:
```
Fe13O15
1.0
5.269 0.000 0.000
0.814 6.884 0.000
2.605 2.491 8.411
Fe O
13 15
Cartesian
0.000 0.000 0.000
2.466 6.490 4.026
1.767 1.916 1.736
4.252 6.464 7.908
3.432 1.794 5.615
3.478 3.827 3.347
3.407 5.773 1.206
5.281 3.602 7.204
5.210 5.548 5.063
5.255 7.581 2.795
4.436 2.911 0.503
6.921 7.459 6.675
6.221 2.885 4.385
1.709 4.687 4.205
1.757 6.917 1.978
3.618 4.386 8.279
3.442 6.829 5.939
2.685 1.699 3.631
2.658 3.711 1.403
5.184 8.457 7.449
4.364 3.518 5.229
4.323 5.857 3.182
3.504 0.918 0.962
6.030 5.664 7.008
6.003 7.676 4.780
5.245 2.545 2.472
5.070 4.988 0.131
6.931 2.458 6.433
```